(1)
This entry pairs a crystal structure of NaNi3O4 with its simulated powder diffraction line list. Radiation: Cu Kα (λ = 1.5418 Å). Structure: DFT lattice parameters and positions (PBE+U).
Intensities are scaled so that the largest is 100.

Most intense lines, 10° ≤ 2θ ≤ 90°, low angle first:
2θ/deg, d_spacing, I_rel
17.9, 4.948, 29
36.3, 2.476, 93
36.7, 2.446, 88
41.6, 2.171, 100
42.7, 2.116, 90
42.9, 2.109, 90
60.5, 1.530, 28
61.2, 1.514, 27
61.3, 1.511, 27
62.1, 1.494, 51

Atomic structure:
```
NaNi3O4
1.0
3.0038 0.0000 0.0000
0.0796 5.2155 0.0000
1.3104 0.6241 9.8959
Na Ni O
2 6 8
direct
0.1431 0.3795 0.2502 Na
0.8569 0.6205 0.7498 Na
0.0000 0.0000 0.5000 Ni
0.2491 0.7492 0.9962 Ni
0.3665 0.1227 0.7518 Ni
0.5000 0.5000 0.5000 Ni
0.6335 0.8773 0.2482 Ni
0.7509 0.2508 0.0038 Ni
0.0586 0.7121 0.3858 O
0.1918 0.0418 0.1218 O
0.3015 0.4115 0.8907 O
0.4080 0.8356 0.6090 O
0.5920 0.1644 0.3910 O
0.6985 0.5885 0.1093 O
0.8082 0.9582 0.8782 O
0.9414 0.2879 0.6142 O
```

(2)
This entry pairs a crystal structure of Na9Ni11O20 with its simulated powder diffraction line list. Radiation: Cu Kα (λ = 1.5418 Å). Structure: DFT lattice parameters and positions (PBE+U).
Intensities are scaled so that the largest is 100.

Most intense lines, 10° ≤ 2θ ≤ 90°, low angle first:
2θ/deg, d_spacing, I_rel
17.1, 5.192, 100
34.5, 2.596, 34
36.1, 2.491, 27
36.7, 2.446, 49
40.3, 2.235, 76
42.5, 2.129, 62
42.7, 2.117, 61
59.0, 1.566, 19
59.2, 1.560, 19
61.0, 1.518, 19

Atomic structure:
```
Na9Ni11O20
1.0
7.1032 0.0000 0.0000
-0.2510 7.7669 0.0000
-0.1587 -3.4077 7.3256
Na Ni O
9 11 20
direct
0.0000 0.0000 0.0000 Na
0.0955 0.3973 0.1004 Na
0.1987 0.7989 0.1965 Na
0.2967 0.1982 0.2968 Na
0.3994 0.5959 0.3978 Na
0.6006 0.4041 0.6022 Na
0.7033 0.8018 0.7032 Na
0.8013 0.2011 0.8035 Na
0.9045 0.6027 0.8996 Na
0.0000 0.5000 0.5000 Ni
0.1076 0.8979 0.5987 Ni
0.2068 0.2943 0.6969 Ni
0.3052 0.6988 0.7965 Ni
0.4058 0.0962 0.8923 Ni
0.5000 0.0000 0.5000 Ni
0.5000 0.5000 0.0000 Ni
0.5942 0.9038 0.1077 Ni
0.6948 0.3011 0.2035 Ni
0.7932 0.7057 0.3031 Ni
0.8924 0.1021 0.4013 Ni
0.0282 0.7388 0.7176 O
0.0783 0.6604 0.3825 O
0.1216 0.1363 0.8129 O
0.1967 0.0539 0.4804 O
0.2352 0.5250 0.9223 O
0.2802 0.4508 0.5767 O
0.3198 0.9466 0.0156 O
0.3933 0.8706 0.6650 O
0.4207 0.3345 0.1109 O
0.4871 0.2324 0.7553 O
0.5129 0.7676 0.2447 O
0.5793 0.6655 0.8891 O
0.6067 0.1294 0.3350 O
0.6802 0.0534 0.9844 O
0.7198 0.5492 0.4233 O
0.7648 0.4750 0.0777 O
0.8033 0.9461 0.5196 O
0.8784 0.8637 0.1871 O
0.9217 0.3396 0.6175 O
0.9718 0.2612 0.2824 O
```

(3)
This entry pairs a crystal structure of Na3Ni7O12 with its simulated powder diffraction line list. Radiation: Cu Kα (λ = 1.5418 Å). Structure: DFT lattice parameters and positions (PBE+U).
Intensities are scaled so that the largest is 100.

Most intense lines, 10° ≤ 2θ ≤ 90°, low angle first:
2θ/deg, d_spacing, I_rel
17.2, 5.158, 100
34.8, 2.579, 22
36.8, 2.439, 17
37.5, 2.400, 15
37.7, 2.385, 15
42.0, 2.149, 46
42.8, 2.115, 43
43.2, 2.096, 41
60.3, 1.535, 24
62.7, 1.482, 12

Atomic structure:
```
Na3Ni7O12
1.0
5.4448 0.0000 0.0000
-1.6497 5.6375 0.0000
-0.8266 -1.5107 7.4777
Na Ni O
3 7 12
direct
0.0000 0.0000 0.0000 Na
0.0048 0.1832 0.6467 Na
0.9914 0.4888 0.9978 Na
0.0000 0.8072 0.3464 Ni
0.4870 0.0701 0.8352 Ni
0.4929 0.4024 0.1696 Ni
0.4992 0.7387 0.5002 Ni
0.5005 0.5782 0.8311 Ni
0.5080 0.2430 0.5010 Ni
0.5079 0.9077 0.1740 Ni
0.2935 0.6508 0.2689 O
0.2976 0.3048 0.9115 O
0.2987 0.9523 0.5682 O
0.3049 0.1000 0.2662 O
0.3049 0.8106 0.9477 O
0.3101 0.4838 0.5908 O
0.6841 0.8455 0.7375 O
0.6923 0.3345 0.7367 O
0.6961 0.1713 0.0846 O
0.6989 0.5403 0.4223 O
0.7092 0.7053 0.0926 O
0.7158 0.9845 0.4023 O
```

(4)
This entry pairs a crystal structure of Na5Ni6O12 with its simulated powder diffraction line list. Radiation: Cu Kα (λ = 1.5418 Å). Structure: DFT lattice parameters and positions (PBE+U).
Intensities are scaled so that the largest is 100.

Most intense lines, 10° ≤ 2θ ≤ 90°, low angle first:
2θ/deg, d_spacing, I_rel
16.5, 5.366, 100
33.4, 2.683, 19
34.4, 2.609, 11
36.2, 2.480, 13
36.4, 2.469, 12
37.4, 2.403, 10
40.4, 2.232, 40
42.8, 2.113, 63
54.6, 1.682, 11
58.5, 1.577, 18

Atomic structure:
```
Na5Ni6O12
1.0
5.9903 0.0000 0.0000
2.6643 6.3511 0.0000
1.5877 2.3354 6.3414
Na Ni O
5 6 12
direct
0.0000 0.0000 0.0000 Na
0.1775 0.3244 0.6732 Na
0.3410 0.6864 0.3149 Na
0.6590 0.3136 0.6851 Na
0.8225 0.6756 0.3268 Na
0.0825 0.1682 0.3339 Ni
0.2512 0.4973 0.9985 Ni
0.4182 0.8320 0.6665 Ni
0.5818 0.1680 0.3335 Ni
0.7488 0.5027 0.0015 Ni
0.9175 0.8318 0.6661 Ni
0.0490 0.0570 0.6377 O
0.1037 0.2822 0.0328 O
0.2124 0.3955 0.3025 O
0.2870 0.6060 0.6942 O
0.3876 0.7172 0.9671 O
0.4472 0.9459 0.3673 O
0.5528 0.0541 0.6327 O
0.6124 0.2828 0.0329 O
0.7130 0.3940 0.3058 O
0.7876 0.6045 0.6975 O
0.8963 0.7178 0.9672 O
0.9510 0.9430 0.3623 O
```

(5)
This entry pairs a crystal structure of NaNi2O3 with its simulated powder diffraction line list. Radiation: Cu Kα (λ = 1.5418 Å). Structure: DFT lattice parameters and positions (PBE+U).
Intensities are scaled so that the largest is 100.

Most intense lines, 10° ≤ 2θ ≤ 90°, low angle first:
2θ/deg, d_spacing, I_rel
17.8, 4.985, 32
36.0, 2.492, 25
36.2, 2.482, 24
36.4, 2.470, 47
41.2, 2.190, 56
42.5, 2.125, 100
60.6, 1.528, 29
60.8, 1.523, 30
61.4, 1.511, 14
62.1, 1.495, 14

Atomic structure:
```
NaNi2O3
1.0
2.6553 -4.4853 0.0000
2.6553 4.4853 0.0000
-1.8937 0.0000 4.9848
Na Ni O
2 4 6
direct
0.1698 0.8302 0.0000 Na
0.8302 0.1698 0.0000 Na
0.0000 0.0000 0.5000 Ni
0.3349 0.6651 0.5000 Ni
0.5000 0.5000 0.0000 Ni
0.6651 0.3349 0.5000 Ni
0.0848 0.3861 0.7106 O
0.2892 0.2892 0.2604 O
0.3861 0.0848 0.7106 O
0.6139 0.9152 0.2894 O
0.7108 0.7108 0.7396 O
0.9152 0.6139 0.2894 O
```

(6)
This entry pairs a crystal structure of NaNi2O4 with its simulated powder diffraction line list. Radiation: Cu Kα (λ = 1.5418 Å). Structure: DFT lattice parameters and positions (PBE+U).
Intensities are scaled so that the largest is 100.

Most intense lines, 10° ≤ 2θ ≤ 90°, low angle first:
2θ/deg, d_spacing, I_rel
15.7, 5.633, 100
31.8, 2.817, 12
36.3, 2.474, 14
39.5, 2.281, 12
40.1, 2.249, 13
40.3, 2.240, 11
48.5, 1.877, 13
49.4, 1.845, 13
49.5, 1.841, 12
66.0, 1.416, 8

Atomic structure:
```
NaNi2O4
1.0
5.7404 0.0000 0.0000
0.0000 4.8832 0.0000
-5.4888 0.0000 11.2663
Na Ni O
4 8 16
direct
0.0000 0.0177 0.0000 Na
0.0000 0.9823 0.5000 Na
0.4967 0.3597 0.5018 Na
0.4967 0.6403 0.0018 Na
0.0005 0.4943 0.7533 Ni
0.0005 0.5057 0.2533 Ni
0.2499 0.0034 0.2532 Ni
0.2499 0.9966 0.7532 Ni
0.4928 0.4950 0.7503 Ni
0.4928 0.5050 0.2503 Ni
0.7411 0.0084 0.2489 Ni
0.7411 0.9916 0.7489 Ni
0.1103 0.1760 0.3455 O
0.1103 0.8240 0.8455 O
0.1804 0.3183 0.1617 O
0.1804 0.6817 0.6617 O
0.3300 0.3330 0.8373 O
0.3300 0.6670 0.3373 O
0.3852 0.1775 0.6581 O
0.3852 0.8225 0.1581 O
0.5779 0.1726 0.3389 O
0.5779 0.8274 0.8389 O
0.6675 0.3486 0.1671 O
0.6675 0.6514 0.6671 O
0.8058 0.3132 0.8390 O
0.8058 0.6868 0.3390 O
0.9161 0.1527 0.6646 O
0.9161 0.8473 0.1646 O
```

(7)
This entry pairs a crystal structure of Na3Ni2O4 with its simulated powder diffraction line list. Radiation: Cu Kα (λ = 1.5418 Å). Structure: DFT lattice parameters and positions (PBE+U).
Intensities are scaled so that the largest is 100.

Most intense lines, 10° ≤ 2θ ≤ 90°, low angle first:
2θ/deg, d_spacing, I_rel
19.2, 4.620, 100
22.4, 3.978, 46
23.9, 3.720, 53
31.5, 2.837, 30
34.1, 2.628, 21
37.4, 2.402, 42
38.4, 2.342, 26
39.5, 2.284, 34
47.1, 1.928, 84
52.8, 1.735, 18

Atomic structure:
```
Na3Ni2O4
1.0
2.8373 -3.9775 0.0000
2.8373 3.9775 0.0000
0.0000 0.0000 10.5085
Na Ni O
6 4 8
direct
0.1498 0.8502 0.5615 Na
0.1498 0.8502 0.9385 Na
0.1845 0.8155 0.2500 Na
0.8155 0.1845 0.7500 Na
0.8502 0.1498 0.0615 Na
0.8502 0.1498 0.4385 Na
0.4277 0.5723 0.7500 Ni
0.5000 0.5000 0.0000 Ni
0.5000 0.5000 0.5000 Ni
0.5723 0.4277 0.2500 Ni
0.2016 0.3615 0.6192 O
0.2016 0.3615 0.8808 O
0.3615 0.2016 0.1192 O
0.3615 0.2016 0.3808 O
0.6385 0.7984 0.6192 O
0.6385 0.7984 0.8808 O
0.7984 0.6385 0.1192 O
0.7984 0.6385 0.3808 O
```

(8)
This entry pairs a crystal structure of Na6Ni7O14 with its simulated powder diffraction line list. Radiation: Cu Kα (λ = 1.5418 Å). Structure: DFT lattice parameters and positions (PBE+U).
Intensities are scaled so that the largest is 100.

Most intense lines, 10° ≤ 2θ ≤ 90°, low angle first:
2θ/deg, d_spacing, I_rel
16.6, 5.336, 96
33.6, 2.668, 19
35.6, 2.521, 21
37.0, 2.432, 34
42.0, 2.152, 100
53.8, 1.703, 16
58.6, 1.575, 27
63.1, 1.474, 26
73.4, 1.290, 12
78.7, 1.216, 12

Atomic structure:
```
Na6Ni7O14
1.0
3.8996 2.2514 5.3359
-3.8996 2.2514 5.3359
0.0000 -4.5028 5.3359
Na Ni O
6 7 14
direct
0.0804 0.7765 0.6331 Na
0.2235 0.3669 0.9196 Na
0.3669 0.9196 0.2235 Na
0.6331 0.0804 0.7765 Na
0.7765 0.6331 0.0804 Na
0.9196 0.2235 0.3669 Na
0.0000 0.0000 0.0000 Ni
0.1463 0.5764 0.2807 Ni
0.2807 0.1463 0.5764 Ni
0.4236 0.7193 0.8537 Ni
0.5764 0.2807 0.1463 Ni
0.7193 0.8537 0.4236 Ni
0.8537 0.4236 0.7193 Ni
0.0327 0.8799 0.2841 O
0.1201 0.7159 0.9673 O
0.1479 0.4341 0.6010 O
0.2700 0.2700 0.2700 O
0.2841 0.0327 0.8799 O
0.3990 0.8521 0.5659 O
0.4341 0.6010 0.1479 O
0.5659 0.3990 0.8521 O
0.6010 0.1479 0.4341 O
0.7159 0.9673 0.1201 O
0.7300 0.7300 0.7300 O
0.8521 0.5659 0.3990 O
0.8799 0.2841 0.0327 O
0.9673 0.1201 0.7159 O
```

(9)
This entry pairs a crystal structure of Na4Ni5O10 with its simulated powder diffraction line list. Radiation: Cu Kα (λ = 1.5418 Å). Structure: DFT lattice parameters and positions (PBE+U).
Intensities are scaled so that the largest is 100.

Most intense lines, 10° ≤ 2θ ≤ 90°, low angle first:
2θ/deg, d_spacing, I_rel
16.5, 5.373, 100
33.4, 2.687, 18
36.6, 2.452, 11
37.3, 2.408, 10
37.6, 2.393, 10
41.3, 2.185, 34
42.4, 2.133, 31
42.7, 2.119, 29
58.5, 1.577, 8
58.7, 1.574, 9

Atomic structure:
```
Na4Ni5O10
1.0
5.1659 0.0000 0.0000
-1.7506 6.0961 0.0000
-0.7658 -2.7039 6.3305
Na Ni O
4 5 10
direct
0.1007 0.1933 0.1895 Na
0.3139 0.6224 0.6256 Na
0.6861 0.3776 0.3744 Na
0.8993 0.8067 0.8105 Na
0.1017 0.6990 0.2042 Ni
0.2958 0.0976 0.5973 Ni
0.5000 0.5000 0.0000 Ni
0.7042 0.9024 0.4027 Ni
0.8983 0.3010 0.7958 Ni
0.0195 0.7758 0.4756 O
0.1670 0.6137 0.9264 O
0.1844 0.1817 0.8590 O
0.3697 0.0092 0.3247 O
0.3966 0.5934 0.2881 O
0.6034 0.4066 0.7119 O
0.6303 0.9908 0.6753 O
0.8156 0.8183 0.1410 O
0.8330 0.3863 0.0736 O
0.9805 0.2242 0.5244 O
```